This entry pairs a crystal structure of BaIn9Ir2 with its computed X-ray powder pattern. Radiation: a wavelength of 1.5418 Å. Structure: a cell relaxed with PBE.

Most intense lines, 2θ from 15° to 90°, sorted by position:
d 4.503, 19.71°, I 30; d 3.132, 28.50°, I 72; d 2.906, 30.76°, I 83; d 2.442, 36.81°, I 100; d 2.252, 40.04°, I 72; d 2.233, 40.39°, I 60; d 2.179, 41.44°, I 44; d 2.000, 45.33°, I 32; d 1.566, 58.99°, I 46; d 1.469, 63.32°, I 21; d 1.383, 67.77°, I 17; d 1.246, 76.46°, I 21

Cell and atoms:
```
BaIn9Ir2
1.0
9.0068 0.0000 0.0000
-4.5034 7.8001 0.0000
0.0000 0.0000 4.3584
Ba In Ir
1 9 2
Direct
0.0000 0.0000 0.0000
0.0000 0.5000 0.0000
0.2077 0.4154 0.5000
0.2077 0.7923 0.5000
0.4154 0.2077 0.5000
0.5000 0.0000 0.0000
0.5000 0.5000 0.0000
0.5846 0.7923 0.5000
0.7923 0.2077 0.5000
0.7923 0.5846 0.5000
0.3333 0.6667 0.0000
0.6667 0.3333 0.0000
```

This entry pairs a crystal structure of BaIn2Ir with its computed X-ray powder pattern. Radiation: a wavelength of 1.5418 Å. Structure: a cell relaxed with PBE.

Most intense lines, 2θ from 15° to 90°, sorted by position:
d 2.955, 30.25°, I 20; d 2.924, 30.57°, I 56; d 2.780, 32.20°, I 100; d 2.396, 37.53°, I 41; d 2.285, 39.43°, I 45; d 2.233, 40.40°, I 32; d 2.005, 45.22°, I 23; d 1.741, 52.57°, I 20; d 1.580, 58.42°, I 14; d 1.433, 65.12°, I 18; d 1.390, 67.40°, I 15; d 1.299, 72.79°, I 14

Cell and atoms:
```
BaIn2Ir
1.0
4.4653 0.0000 0.0000
0.0000 11.8239 0.0000
0.0000 0.0000 8.1889
Ba In Ir
4 8 4
Direct
0.0000 0.0539 0.2500
0.0000 0.9461 0.7500
0.5000 0.4461 0.7500
0.5000 0.5539 0.2500
0.0000 0.3351 0.0555
0.0000 0.3351 0.4445
0.0000 0.6649 0.5555
0.0000 0.6649 0.9445
0.5000 0.1649 0.5555
0.5000 0.1649 0.9445
0.5000 0.8351 0.0555
0.5000 0.8351 0.4445
0.0000 0.2203 0.7500
0.0000 0.7797 0.2500
0.5000 0.2797 0.2500
0.5000 0.7203 0.7500
```

This entry pairs a crystal structure of Ba2In13Ir4 with its computed X-ray powder pattern. Radiation: a wavelength of 1.5418 Å. Structure: a cell relaxed with PBE.

Most intense lines, 2θ from 15° to 90°, sorted by position:
d 4.425, 20.06°, I 15; d 3.227, 27.65°, I 12; d 3.015, 29.63°, I 41; d 2.844, 31.46°, I 72; d 2.751, 32.55°, I 16; d 2.318, 38.86°, I 37; d 2.307, 39.05°, I 100; d 2.272, 39.67°, I 53; d 2.221, 40.62°, I 14; d 1.948, 46.63°, I 12; d 1.622, 56.74°, I 25; d 1.318, 71.58°, I 17

Cell and atoms:
```
Ba2In13Ir4
1.0
2.2719 -14.7358 0.0000
2.2719 14.7358 0.0000
0.0000 0.0000 13.9186
Ba In Ir
4 26 8
Direct
0.0401 0.9599 0.5000
0.2482 0.7518 0.1779
0.7518 0.2482 0.6779
0.9599 0.0401 0.0000
0.0025 0.9975 0.2468
0.1147 0.8853 0.0010
0.1472 0.8528 0.3358
0.1555 0.8445 0.6783
0.2748 0.7252 0.8943
0.2847 0.7153 0.4834
0.3491 0.6509 0.6633
0.3605 0.6395 0.3341
0.3630 0.6370 0.0136
0.4284 0.5716 0.8210
0.4320 0.5680 0.1772
0.4550 0.5450 0.6034
0.4632 0.5368 0.3930
0.5368 0.4632 0.8930
0.5450 0.4550 0.1034
0.5680 0.4320 0.6772
0.5716 0.4284 0.3210
0.6370 0.3630 0.5136
0.6395 0.3605 0.8341
0.6509 0.3491 0.1633
0.7153 0.2847 0.9834
0.7252 0.2748 0.3943
0.8445 0.1555 0.1783
0.8528 0.1472 0.8358
0.8853 0.1147 0.5010
0.9975 0.0025 0.7468
0.0819 0.9181 0.8085
0.0885 0.9115 0.1884
0.1849 0.8151 0.8705
0.1913 0.8087 0.5000
0.8087 0.1913 0.0000
0.8151 0.1849 0.3705
0.9115 0.0885 0.6884
0.9181 0.0819 0.3085
```

This entry pairs a crystal structure of Ba3InIrRuO9 with its computed X-ray powder pattern. Radiation: a wavelength of 1.5418 Å. Structure: a cell relaxed with PBE.

Most intense lines, 2θ from 15° to 90°, sorted by position:
d 4.826, 18.38°, I 19; d 3.519, 25.31°, I 20; d 2.964, 30.15°, I 54; d 2.954, 30.26°, I 100; d 2.529, 35.50°, I 21; d 2.262, 39.85°, I 15; d 2.092, 43.24°, I 31; d 1.921, 47.32°, I 13; d 1.706, 53.72°, I 41; d 1.611, 57.17°, I 20; d 1.477, 62.93°, I 18; d 1.117, 87.33°, I 17

Cell and atoms:
```
Ba3InIrRuO9
1.0
5.9074 0.0000 0.0000
-2.9537 5.1159 0.0000
0.0000 0.0000 14.5449
Ba In Ir Ru O
6 2 2 2 18
Direct
0.0000 0.0000 0.0000
0.0000 0.0000 0.5000
0.3333 0.6667 0.1648
0.3333 0.6667 0.8399
0.6667 0.3333 0.3399
0.6667 0.3333 0.6648
0.0000 0.0000 0.2509
0.0000 0.0000 0.7509
0.3333 0.6667 0.4143
0.6667 0.3333 0.9143
0.3333 0.6667 0.5888
0.6667 0.3333 0.0888
0.0231 0.5116 0.5018
0.1734 0.3468 0.6651
0.1734 0.8266 0.6651
0.1738 0.3476 0.3338
0.1738 0.8262 0.3338
0.3468 0.1734 0.1651
0.3476 0.1738 0.8338
0.4884 0.5116 0.5018
0.4884 0.9769 0.5018
0.5116 0.0231 0.0018
0.5116 0.4884 0.0018
0.6524 0.8262 0.3338
0.6532 0.8266 0.6651
0.8262 0.1738 0.8338
0.8262 0.6524 0.8338
0.8266 0.1734 0.1651
0.8266 0.6532 0.1651
0.9769 0.4884 0.0018
```

This entry pairs a crystal structure of BaLa2In2O7 with its computed X-ray powder pattern. Radiation: a wavelength of 1.5418 Å. Structure: a cell relaxed with PBE.

Most intense lines, 2θ from 15° to 90°, sorted by position:
d 3.002, 29.76°, I 56; d 2.984, 29.95°, I 100; d 2.123, 42.59°, I 29; d 2.097, 43.14°, I 10; d 2.043, 44.35°, I 6; d 1.730, 52.94°, I 39; d 1.719, 53.28°, I 17; d 1.501, 61.81°, I 8; d 1.492, 62.23°, I 12; d 1.342, 70.14°, I 15; d 1.134, 85.69°, I 9; d 1.131, 85.97°, I 7

Cell and atoms:
```
BaLa2In2O7
1.0
6.0039 0.0000 0.0000
0.0000 6.0039 0.0000
0.0000 0.0000 20.9718
Ba La In O
4 8 8 28
Direct
0.2415 0.2415 0.0000
0.2585 0.7415 0.5000
0.7415 0.2585 0.5000
0.7585 0.7585 0.0000
0.2230 0.2230 0.1855
0.2230 0.2230 0.8145
0.2770 0.7230 0.3145
0.2770 0.7230 0.6855
0.7230 0.2770 0.3145
0.7230 0.2770 0.6855
0.7770 0.7770 0.1855
0.7770 0.7770 0.8145
0.2416 0.2416 0.3982
0.2416 0.2416 0.6018
0.2584 0.7416 0.1018
0.2584 0.7416 0.8982
0.7416 0.2584 0.1018
0.7416 0.2584 0.8982
0.7584 0.7584 0.3982
0.7584 0.7584 0.6018
0.0000 0.0000 0.0916
0.0000 0.0000 0.3663
0.0000 0.0000 0.6337
0.0000 0.0000 0.9084
0.0000 0.5000 0.1151
0.0000 0.5000 0.3849
0.0000 0.5000 0.6151
0.0000 0.5000 0.8849
0.1826 0.8174 0.2112
0.1826 0.8174 0.7888
0.2033 0.2033 0.5000
0.2967 0.7033 0.0000
0.3174 0.3174 0.2888
0.3174 0.3174 0.7112
0.5000 0.0000 0.1151
0.5000 0.0000 0.3849
0.5000 0.0000 0.6151
0.5000 0.0000 0.8849
0.5000 0.5000 0.1337
0.5000 0.5000 0.4084
0.5000 0.5000 0.5916
0.5000 0.5000 0.8663
0.6826 0.6826 0.2888
0.6826 0.6826 0.7112
0.7033 0.2967 0.0000
0.7967 0.7967 0.5000
0.8174 0.1826 0.2112
0.8174 0.1826 0.7888
```

This entry pairs a crystal structure of Ba3LiIn11 with its computed X-ray powder pattern. Radiation: a wavelength of 1.5418 Å. Structure: a cell relaxed with PBE.

Most intense lines, 2θ from 15° to 90°, sorted by position:
d 3.308, 26.96°, I 100; d 3.024, 29.54°, I 24; d 2.897, 30.86°, I 30; d 2.800, 31.96°, I 18; d 2.631, 34.07°, I 77; d 2.622, 34.20°, I 23; d 2.404, 37.41°, I 16; d 2.347, 38.36°, I 17; d 2.308, 39.02°, I 17; d 2.059, 43.97°, I 16; d 1.752, 52.23°, I 23; d 1.622, 56.77°, I 34

Cell and atoms:
```
Ba3LiIn11
1.0
10.5248 0.0000 0.0000
-5.2624 9.1147 0.0000
0.0000 0.0000 9.6160
Ba Li In
6 2 22
Direct
0.0338 0.5169 0.2500
0.4831 0.5169 0.2500
0.4831 0.9662 0.2500
0.5169 0.0338 0.7500
0.5169 0.4831 0.7500
0.9662 0.4831 0.7500
0.0000 0.0000 0.0000
0.0000 0.0000 0.5000
0.1026 0.2053 0.2500
0.1026 0.8974 0.2500
0.1694 0.3387 0.5473
0.1694 0.3387 0.9527
0.1694 0.8306 0.5473
0.1694 0.8306 0.9527
0.2053 0.1026 0.7500
0.3333 0.6667 0.5456
0.3333 0.6667 0.9544
0.3387 0.1694 0.0473
0.3387 0.1694 0.4527
0.6613 0.8306 0.5473
0.6613 0.8306 0.9527
0.6667 0.3333 0.0456
0.6667 0.3333 0.4544
0.7947 0.8974 0.2500
0.8306 0.1694 0.0473
0.8306 0.1694 0.4527
0.8306 0.6613 0.0473
0.8306 0.6613 0.4527
0.8974 0.1026 0.7500
0.8974 0.7947 0.7500
```

This entry pairs a crystal structure of BaMgIn3 with its computed X-ray powder pattern. Radiation: a wavelength of 1.5418 Å. Structure: a cell relaxed with PBE.

Most intense lines, 2θ from 15° to 90°, sorted by position:
d 4.570, 19.42°, I 30; d 3.463, 25.72°, I 37; d 3.205, 27.84°, I 94; d 3.041, 29.37°, I 100; d 2.449, 36.70°, I 76; d 2.342, 38.44°, I 29; d 2.257, 39.95°, I 58; d 1.946, 46.68°, I 45; d 1.732, 52.87°, I 26; d 1.659, 55.36°, I 44; d 1.505, 61.64°, I 23; d 1.333, 70.67°, I 19

Cell and atoms:
```
BaMgIn3
1.0
4.8978 0.0000 0.0000
0.0000 4.8978 0.0000
0.0000 0.0000 12.7124
Ba Mg In
2 2 6
Direct
0.0000 0.0000 0.0000
0.5000 0.5000 0.5000
0.0000 0.5000 0.2500
0.5000 0.0000 0.7500
0.0000 0.0000 0.3855
0.0000 0.0000 0.6145
0.0000 0.5000 0.7500
0.5000 0.0000 0.2500
0.5000 0.5000 0.1145
0.5000 0.5000 0.8855
```

This entry pairs a crystal structure of Ba3In2N4 with its computed X-ray powder pattern. Radiation: a wavelength of 1.5418 Å. Structure: a cell relaxed with PBE.

Most intense lines, 2θ from 15° to 90°, sorted by position:
d 3.281, 27.18°, I 62; d 3.229, 27.63°, I 100; d 2.970, 30.09°, I 41; d 2.792, 32.06°, I 14; d 2.417, 37.20°, I 29; d 2.367, 38.02°, I 59; d 2.242, 40.23°, I 20; d 2.169, 41.64°, I 14; d 1.945, 46.69°, I 13; d 1.668, 55.05°, I 12; d 1.643, 55.97°, I 10; d 1.428, 65.32°, I 10

Cell and atoms:
```
Ba3In2N4
1.0
6.1037 -4.8342 0.0000
6.1037 4.8342 0.0000
-0.2269 0.0000 6.3958
Ba In N
6 4 8
Direct
0.1028 0.8972 0.7500
0.2422 0.5224 0.4338
0.4776 0.7578 0.0662
0.5224 0.2422 0.9338
0.7578 0.4776 0.5662
0.8972 0.1028 0.2500
0.0903 0.3252 0.9111
0.3252 0.0903 0.4111
0.6748 0.9097 0.5889
0.9097 0.6748 0.0889
0.0840 0.2440 0.5731
0.1976 0.5641 0.9900
0.2440 0.0840 0.0731
0.4359 0.8024 0.5100
0.5641 0.1976 0.4900
0.7560 0.9160 0.9269
0.8024 0.4359 0.0100
0.9160 0.7560 0.4269
```